# 1
Structure and simulated X-ray powder pattern of Na3CaFe4Si8O24 (DFT lattice parameters and positions (GGA+U); λ = 1.5418 Å (Cu Kα)).

Main lines, by angle (10° ≤ 2θ ≤ 80°):
| two_theta | I_rel |
| --- | --- |
| 13.9 | 44 |
| 29.9 | 100 |
| 30.7 | 49 |
| 35.2 | 32 |
| 35.4 | 42 |
| 36.2 | 42 |
| 40.9 | 20 |
| 42.5 | 26 |
| 57.0 | 18 |
| 66.7 | 17 |

Structure:
```
40
Lattice="6.0392 -4.4061 0.0000 6.0392 4.4061 0.0000 -5.2631 0.0000 8.1544" Properties=species:S:1:pos:R:3 pbc="T T T"
Na 0.0000 0.0000 0.0000
Na -0.9295 -0.8495 6.1661
Na 7.7448 -0.8495 1.9883
Ca 3.4076 0.0200 4.0772
Fe 6.0392 0.9780 0.0000
Fe 1.6972 -1.8263 2.0063
Fe 3.4076 -3.4616 4.0772
Fe 5.1181 -1.8263 6.1481
Si 0.4980 0.9688 3.6610
Si 2.8836 0.9528 0.4213
Si 2.2406 2.5946 5.7249
Si 4.5747 2.5946 2.4295
Si 3.9317 0.9528 7.7332
Si 6.3172 0.9688 4.4934
Si 4.8786 -1.8207 1.6072
Si 1.9367 -1.8207 6.5473
O 3.9495 4.0542 2.7052
O 2.8658 4.0542 5.4493
O -0.7618 1.0424 4.7181
O 1.7699 1.8579 4.3090
O 1.0113 2.4695 6.8027
O 3.3123 1.6396 1.8831
O -1.1065 1.0687 7.5366
O 5.8040 2.4695 1.3518
O 2.2665 -0.5061 0.6589
O 1.1913 -0.4686 3.4110
O 5.0454 1.8579 3.8454
O 3.5030 1.6396 6.2713
O 1.3244 -0.3530 6.8058
O 5.4909 -0.3530 1.3486
O 7.9218 1.0687 0.6179
O 4.3994 -2.5362 0.2030
O 3.6485 -1.9052 2.7193
O 0.6849 -2.7240 5.9212
O 7.5771 1.0424 3.4364
O 3.1668 -1.9052 5.4351
O 5.6240 -0.4686 4.7435
O 4.5488 -0.5061 7.4956
O 2.4159 -2.5362 7.9514
O 6.1304 -2.7240 2.2332
```

# 2
Structure and simulated X-ray powder pattern of NaCaFe2Si4O12 (DFT lattice parameters and positions (GGA+U); λ = 1.5418 Å (Cu Kα)).

Main lines, by angle (10° ≤ 2θ ≤ 80°):
| two_theta | I_rel |
| --- | --- |
| 13.6 | 36 |
| 19.8 | 21 |
| 29.5 | 100 |
| 30.2 | 44 |
| 34.7 | 31 |
| 35.1 | 42 |
| 35.6 | 42 |
| 42.0 | 22 |
| 55.7 | 17 |
| 65.6 | 28 |

Structure:
```
40
Lattice="5.3377 0.0000 0.0000 0.0046 8.9717 0.0000 2.5055 0.0100 9.3991" Properties=species:S:1:pos:R:3 pbc="T T T"
Na 0.0000 0.0000 0.0000
Na 3.9239 4.3809 4.7046
Ca 6.5935 8.0412 4.7028
Ca 2.6650 3.5952 0.0045
Fe 3.9207 0.9563 4.6973
Fe 2.6718 7.1734 0.0021
Fe 6.5896 2.6425 4.7035
Fe 5.3376 5.4462 0.0051
Si 3.0159 2.5580 7.3885
Si 1.7814 5.4659 2.7277
Si 2.1773 0.9329 1.9871
Si 3.4409 7.1235 6.6662
Si 4.4036 7.1247 2.7389
Si 5.6656 0.9418 7.4168
Si 6.0637 5.4658 6.6806
Si 4.8300 2.5499 2.0140
O 2.1184 6.2306 6.1389
O 0.9167 1.8892 1.4448
O 1.9642 4.0114 3.3443
O 3.2448 3.9912 8.0754
O 3.4640 7.0899 8.2947
O 2.2233 0.9545 3.6315
O 3.0645 2.4125 5.7608
O 1.8493 5.5573 1.0910
O 1.9442 8.4615 1.3176
O 3.1817 8.5536 5.9304
O 3.0074 6.4555 3.3489
O 4.2898 1.6469 8.0260
O 3.5547 1.6390 1.3815
O 4.8374 6.4536 6.0582
O 4.6695 8.5595 3.4668
O 5.9050 8.4679 8.0837
O 5.9960 5.5628 8.3173
O 4.7851 2.4073 3.6443
O 5.6162 0.9619 5.7727
O 4.3812 7.0871 1.1110
O 4.6000 3.9841 1.3293
O 5.8821 4.0110 6.0651
O 6.9302 1.8930 7.9587
O 5.7258 6.2319 3.2686
```

# 3
Structure and simulated X-ray powder pattern of NaCaTiFe3O8 (DFT lattice parameters and positions (GGA+U); λ = 1.5418 Å (Cu Kα)).

Main lines, by angle (10° ≤ 2θ ≤ 80°):
| two_theta | I_rel |
| --- | --- |
| 19.1 | 54 |
| 33.3 | 94 |
| 33.5 | 49 |
| 35.9 | 100 |
| 40.7 | 28 |
| 49.8 | 24 |
| 49.9 | 42 |
| 61.3 | 23 |
| 62.6 | 21 |
| 72.8 | 26 |

Structure:
```
28
Lattice="2.9676 0.0000 0.0000 0.0000 9.3187 0.0000 0.0000 0.0000 10.7101" Properties=species:S:1:pos:R:3 pbc="T T T"
Na 0.0000 0.0507 0.0000
Na 1.4838 9.2680 5.3550
Ca 0.0000 4.7829 8.6968
Ca 1.4838 4.5359 3.3418
Ti 0.0000 1.4266 2.7619
Ti 1.4838 7.8922 8.1170
Fe 0.0000 1.7818 8.1999
Fe 0.0000 6.1566 5.8945
Fe 0.0000 6.4537 0.4387
Fe 1.4838 2.8651 5.7938
Fe 1.4838 3.1621 0.5394
Fe 1.4838 7.5370 2.8449
O 0.0000 1.6449 6.2276
O 0.0000 2.6827 10.0649
O 0.0000 3.3660 1.8733
O 0.0000 4.1214 5.2616
O 0.0000 6.1753 2.4229
O 0.0000 7.2143 9.2742
O 0.0000 8.1502 6.8814
O 0.0000 8.9031 3.3335
O 1.4838 0.4157 8.6885
O 1.4838 1.1685 1.5263
O 1.4838 2.1044 3.9192
O 1.4838 3.1435 7.7780
O 1.4838 5.1973 10.6167
O 1.4838 5.9527 7.2283
O 1.4838 6.6361 4.7099
O 1.4838 7.6738 0.8726
```

# 4
Structure and simulated X-ray powder pattern of Na3CaTi3Fe5O16 (DFT lattice parameters and positions (GGA+U); λ = 1.5418 Å (Cu Kα)).

Main lines, by angle (10° ≤ 2θ ≤ 80°):
| two_theta | I_rel |
| --- | --- |
| 19.0 | 36 |
| 21.1 | 79 |
| 24.8 | 76 |
| 31.7 | 37 |
| 32.5 | 47 |
| 33.1 | 91 |
| 35.2 | 84 |
| 35.5 | 47 |
| 42.4 | 38 |
| 47.9 | 100 |

Structure:
```
28
Lattice="8.4446 0.0000 0.0000 0.0000 3.8002 0.0000 -0.5762 0.0000 10.8622" Properties=species:S:1:pos:R:3 pbc="T T T"
Na 0.0000 0.0000 0.0000
Na 0.1577 1.9001 6.8876
Na 3.4936 0.0000 1.1592
Ca 4.5423 1.9001 4.6401
Ti 3.1879 0.0000 8.0593
Ti 6.2525 1.9001 1.6180
Ti 7.6342 0.0000 3.7326
Fe 1.3990 1.9001 2.7254
Fe 1.5030 1.9001 9.8173
Fe 1.9350 0.0000 5.2727
Fe 5.8982 0.0000 6.5012
Fe 6.1874 1.9001 8.8501
O -0.3370 1.9001 9.1917
O -0.0533 0.0000 5.3652
O 1.2450 0.0000 3.0617
O 1.7295 1.9001 0.8772
O 1.5994 0.0000 7.1960
O 2.2518 1.9001 4.6039
O 2.1234 0.0000 9.8067
O 3.2935 1.9001 8.4839
O 3.8626 0.0000 6.1325
O 4.5974 1.9001 2.2721
O 5.5503 0.0000 8.4155
O 5.9429 0.0000 4.5446
O 5.6868 1.9001 10.6919
O 6.2304 1.9001 6.7347
O 6.7911 0.0000 1.8134
O 7.7771 1.9001 3.1662
```

# 5
Structure and simulated X-ray powder pattern of CaNbFe2O6 (DFT lattice parameters and positions (GGA+U); λ = 1.5418 Å (Cu Kα)).

Main lines, by angle (10° ≤ 2θ ≤ 80°):
| two_theta | I_rel |
| --- | --- |
| 20.1 | 40 |
| 22.5 | 32 |
| 30.7 | 52 |
| 31.1 | 100 |
| 33.4 | 41 |
| 33.5 | 80 |
| 46.0 | 41 |
| 50.0 | 26 |
| 50.8 | 25 |
| 59.7 | 32 |

Structure:
```
10
Lattice="5.3473 0.0000 0.0000 -2.6541 4.6475 0.0000 -0.0854 -3.0502 4.9188" Properties=species:S:1:pos:R:3 pbc="T T T"
Ca 0.0000 0.0000 0.0000
Nb -0.0100 3.1314 2.2951
Fe -0.0455 0.0555 4.1611
Fe 2.6632 1.5689 1.7257
O -1.5125 2.8760 0.8589
O -0.9804 1.6339 3.1429
O 0.9582 1.9222 0.8146
O 1.8841 0.0761 3.1252
O 3.2405 -0.0877 0.8694
O 4.4173 -1.6719 3.1173
```